Record 1
Simulated PXRD pattern
Compound: Sc2AlTc
Radiation: Cu Kα, 1.54184 Å
Structure: a DFT-relaxed cell (GGA-PBE, OQMD)

Atomic structure:
Cell: 4.674 14.027 6.616 Å, 90.00 90.00 90.00°
Space group Pnnm (No. 58)
Asymmetric unit:
1 Sc 0.000 0.000 0.250
2 Sc 0.001 0.333 0.250
3 Al 0.000 0.500 0.000
4 Al 0.001 0.167 0.000
5 Tc 0.000 0.500 0.500
6 Tc 0.001 0.833 0.500

Top 9 peaks for 5° ≤ 2θ ≤ 70°, by angle:
Position (°2θ), intensity
23.30, 28.9
26.97, 3.9
38.50, 100.0
45.49, 14.4
47.64, 1.3
55.59, 16.2
61.08, 5.8
62.84, 1.9
69.65, 31.7

=====

Record 2
Simulated PXRD pattern
Compound: ScAl2Zn
Radiation: Cu Kα, 1.54184 Å
Structure: a DFT-relaxed cell (GGA-PBE, OQMD)

Atomic structure:
Cell: 4.677 10.075 5.787 Å, 90.00 90.00 90.00°
Space group Ama2 (No. 40)
Asymmetric unit:
1 Sc 0.250 0.166 0.000
2 Al 0.250 0.158 0.500
3 Al 0.250 0.419 0.241
4 Zn 0.250 0.419 0.759

Top 10 peaks for 5° ≤ 2θ ≤ 70°, by angle:
Position (°2θ), intensity
17.67, 31.1
26.04, 15.8
35.64, 12.4
35.79, 24.3
36.41, 12.8
38.50, 39.9
40.69, 50.2
40.81, 100.0
53.57, 14.3
64.12, 15.9

=====

Record 3
Simulated PXRD pattern
Compound: Sc2Al3Zn3
Radiation: Cu Kα, 1.54184 Å
Structure: a DFT-relaxed cell (GGA-PBE, OQMD)

Atomic structure:
Cell: 4.579 5.846 10.095 Å, 90.00 90.00 90.00°
Space group Amm2 (No. 38)
Asymmetric unit:
1 Sc 0.000 0.000 0.000
2 Sc 0.500 0.000 0.337
3 Al 0.000 0.000 0.508
4 Al 0.500 0.241 0.590
5 Zn 0.000 0.243 0.748
6 Zn 0.500 0.000 0.828

Top 10 peaks for 5° ≤ 2θ ≤ 70°, by angle:
Position (°2θ), intensity
17.56, 20.8
26.27, 5.1
35.52, 25.8
36.48, 9.1
39.35, 24.8
40.78, 100.0
43.40, 4.5
54.04, 14.5
63.67, 5.8
63.83, 10.6